No. 1
For AlTcP, DFT lattice parameters and positions (GGA-PBE) gives the computed powder diffractogram in this record (CuKα).
Lines closer than 0.1° are merged.

Peak list (10 most intense, 10 to 80 degrees two-theta, in order of falling intensity)
| Position (°2θ) | d (Å) | intensity |
| --- | --- | --- |
| 16.99 | 5.218 | 100.0 |
| 34.55 | 2.596 | 86.4 |
| 46.16 | 1.967 | 73.3 |
| 42.74 | 2.116 | 50.9 |
| 46.30 | 1.961 | 28.8 |
| 72.99 | 1.296 | 18.6 |
| 62.03 | 1.496 | 16.3 |
| 70.02 | 1.344 | 12.1 |
| 61.68 | 1.504 | 10.8 |
| 64.83 | 1.438 | 10.2 |

```
3
Lattice="2.9922 0.0000 0.0000 0.0000 2.9922 0.0000 0.0000 0.0000 5.2183" Properties=species:S:1:pos:R:3 pbc="T T T"
Al 0.0000 0.0000 0.0000
Tc 1.4961 1.4961 3.5641
P 0.0000 0.0000 2.3850
```

***

No. 2
For AlTcP, DFT lattice parameters and positions (GGA-PBE) gives the computed powder diffractogram in this record (CuKα).
Lines closer than 0.1° are merged.

Peak list (10 most intense, 10 to 80 degrees two-theta, in order of falling intensity)
| Position (°2θ) | d (Å) | intensity |
| --- | --- | --- |
| 15.79 | 5.613 | 100.0 |
| 38.87 | 2.317 | 45.1 |
| 47.21 | 1.925 | 29.3 |
| 35.08 | 2.558 | 26.7 |
| 33.01 | 2.714 | 24.3 |
| 44.64 | 2.030 | 22.9 |
| 44.02 | 2.057 | 19.9 |
| 36.11 | 2.487 | 17.9 |
| 48.45 | 1.879 | 11.5 |
| 48.67 | 1.871 | 11.1 |

```
6
Lattice="5.5102 -1.5256 0.0000 5.5102 1.5256 0.0000 -2.2455 0.0000 5.6130" Properties=species:S:1:pos:R:3 pbc="T T T"
Al 0.1809 0.0000 1.5000
Al 8.5940 0.0000 4.1130
Tc 3.9430 0.0000 0.1424
Tc 4.8319 0.0000 5.4706
P 0.2392 0.0000 3.9000
P 8.5357 0.0000 1.7130
```

***

No. 3
For AlTcP, DFT lattice parameters and positions (GGA-PBE) gives the computed powder diffractogram in this record (CuKα).
Lines closer than 0.1° are merged.

Peak list (10 most intense, 10 to 80 degrees two-theta, in order of falling intensity)
| Position (°2θ) | d (Å) | intensity |
| --- | --- | --- |
| 43.53 | 2.079 | 100.0 |
| 22.49 | 3.953 | 88.2 |
| 43.21 | 2.094 | 64.2 |
| 30.33 | 2.947 | 57.7 |
| 42.52 | 2.126 | 43.2 |
| 34.61 | 2.592 | 37.3 |
| 43.75 | 2.069 | 35.4 |
| 47.51 | 1.914 | 33.1 |
| 27.84 | 3.204 | 32.2 |
| 13.82 | 6.409 | 25.2 |

```
6
Lattice="4.2725 -1.5770 0.0000 4.2725 1.5770 0.0000 -1.6447 0.0000 6.4090" Properties=species:S:1:pos:R:3 pbc="T T T"
Al 0.0000 0.0000 0.0000
Al 1.0980 0.0000 3.1276
Tc 0.7124 0.0000 5.6778
Tc 3.5452 0.0000 1.9687
P 3.6671 0.0000 4.3961
P 6.1073 0.0000 1.1679
```

***

No. 4
For AlTeP, DFT lattice parameters and positions (GGA-PBE) gives the computed powder diffractogram in this record (CuKα).
Lines closer than 0.1° are merged.

Peak list (10 most intense, 10 to 80 degrees two-theta, in order of falling intensity)
| Position (°2θ) | d (Å) | intensity |
| --- | --- | --- |
| 27.29 | 3.268 | 100.0 |
| 37.53 | 2.396 | 40.3 |
| 28.97 | 3.083 | 37.7 |
| 48.09 | 1.892 | 35.8 |
| 45.49 | 1.994 | 35.7 |
| 34.29 | 2.615 | 32.4 |
| 14.37 | 6.165 | 25.8 |
| 61.66 | 1.504 | 19.6 |
| 73.31 | 1.291 | 17.0 |
| 62.55 | 1.485 | 16.1 |

```
3
Lattice="-1.6945 1.6945 6.1652 1.6945 -1.6945 6.1652 1.6945 1.6945 -6.1652" Properties=species:S:1:pos:R:3 pbc="T T T"
Al 0.0000 0.0000 0.0000
Te 0.0000 0.0000 9.5245
P 0.0000 0.0000 6.6875
```